[1]
Calculated powder XRD pattern
Compound: Al4Si2HO9F3
Radiation: Cu Kα X-rays
Structure: a cell relaxed with GGA-PBE
Peak positions follow from Bragg's law for the DFT cell and can differ from measured ones.

Atomic structure:
```
38
Lattice="8.4910 0.0000 0.0000 0.0000 4.7216 0.0000 -0.0039 0.0000 8.9286" Properties=species:S:1:pos:R:3 pbc="T T T"
Al 0.6741 0.0000 1.0475
Al 0.6952 3.2756 5.5274
Al 3.5407 0.0131 1.0790
Al 3.5387 3.2819 5.5216
Al 4.9485 0.9211 3.4070
Al 4.9465 2.3740 7.8496
Al 7.7919 0.9148 3.4012
Al 7.8130 2.3608 7.8811
Si 2.1267 0.9346 7.2035
Si 2.1270 2.3361 2.7738
Si 6.3604 3.2955 1.7251
Si 6.3602 4.6969 6.1548
H 1.4137 2.7823 8.9021
H 7.0734 0.4215 0.0265
O 0.5617 3.2448 8.9025
O 0.7985 1.8162 6.7522
O 0.8050 1.4297 2.3477
O 2.1256 2.6477 4.4047
O 2.1282 4.2121 6.4067
O 2.1367 0.7054 8.8619
O 2.1429 3.7743 1.9444
O 3.4642 1.4485 2.3358
O 3.4617 1.8338 6.7869
O 5.0230 3.8093 6.5928
O 5.0254 4.1947 2.1418
O 6.3443 1.4135 6.9842
O 6.3505 3.0663 0.0667
O 6.3616 0.2869 4.5239
O 6.3589 1.8513 2.5219
O 7.6821 3.7906 6.5809
O 7.6887 4.1770 2.1764
O 7.9254 0.8840 0.0261
F 0.4691 0.0071 4.4673
F 3.7465 3.2882 8.9051
F 3.7696 0.0173 4.4605
F 4.7176 2.3781 4.4681
F 4.7407 0.9274 0.0235
F 8.0181 2.3679 4.4613
```

Most intense lines, 10° ≤ 2θ ≤ 80°, low angle first:
2θ (°), d [Å], I_rel
23.8, 3.746, 66.4
27.5, 3.244, 84.3
29.0, 3.076, 35.5
30.0, 2.976, 100.0
37.6, 2.390, 49.4
42.4, 2.133, 54.7
64.8, 1.438, 41.1
68.2, 1.376, 40.7

[2]
Calculated powder XRD pattern
Compound: NaGdH2S2O9
Radiation: Cu Kα X-rays
Structure: a cell relaxed with GGA-PBE
Peak positions follow from Bragg's law for the DFT cell and can differ from measured ones.

Atomic structure:
```
45
Lattice="6.9900 0.0000 0.0000 -3.4950 6.0535 0.0000 0.0000 0.0000 12.8766" Properties=species:S:1:pos:R:3 pbc="T T T"
Na -1.6441 2.8476 4.2922
Na 3.2882 0.0000 8.5844
Na 1.8509 3.2059 0.0000
Gd -1.5402 2.6678 10.7305
Gd 3.0805 0.0000 2.1461
Gd 1.9548 3.3858 6.4383
H -2.9967 5.6784 5.9566
H 0.0757 0.6191 1.6644
H 0.4983 0.3751 11.2121
H 2.9210 5.8095 10.2488
H 6.4160 0.2440 6.9200
H 3.5707 5.4344 2.6278
S -1.5122 2.7607 7.6175
S -0.3480 5.9828 11.9097
S 3.1470 0.0708 5.2591
S 1.8602 3.3636 3.3253
S 1.9828 3.2928 9.5513
S 5.3553 2.6900 0.9669
O -0.3277 0.5676 10.7305
O 0.6555 0.0000 2.1461
O -1.2915 3.7598 1.9336
O -0.4627 2.3536 0.0943
O -1.3389 3.9054 8.5598
O -0.2739 2.4982 6.8350
O -1.1946 5.0416 11.1272
O -1.2254 5.2775 4.3865
O 0.7823 2.9413 4.2676
O 0.8847 3.0552 10.5180
O 2.2696 0.7761 12.7823
O 2.3004 1.0119 6.0415
O 2.1561 2.1482 8.6090
O 0.4068 5.2921 6.2258
O 2.2036 2.2938 2.3586
O 0.5566 5.2604 12.8520
O 1.4685 4.5672 2.5429
O 1.6881 4.4760 8.6786
O 3.9018 0.7614 10.9429
O 4.0516 0.7931 4.3168
O 3.0323 3.6999 4.1979
O 3.2211 3.5553 10.3337
O 4.9635 1.4863 1.7493
O 4.2774 3.1122 0.0246
O 5.1831 1.5775 8.4901
O 4.3797 2.9983 6.6508
O 3.1673 5.4859 6.4383
```

Most intense lines, 10° ≤ 2θ ≤ 80°, low angle first:
2θ (°), d [Å], I_rel
14.6, 6.054, 46.4
16.2, 5.478, 100.0
25.5, 3.495, 38.1
29.5, 3.027, 58.9
31.5, 2.842, 64.3
41.9, 2.156, 25.0
48.8, 1.865, 40.6
53.6, 1.710, 24.3

[3]
Calculated powder XRD pattern
Compound: Rb3ScH6O6
Radiation: Cu Kα X-rays
Structure: a cell relaxed with GGA-PBE
Peak positions follow from Bragg's law for the DFT cell and can differ from measured ones.

Atomic structure:
```
32
Lattice="5.7809 3.3376 3.8994 -5.7809 3.3376 3.8994 0.0000 -6.6752 3.8994" Properties=species:S:1:pos:R:3 pbc="T T T"
Rb -3.5677 0.4957 4.8743
Rb -2.2132 -2.8419 6.8240
Rb 1.3545 -3.3376 4.8743
Rb -1.3545 3.3376 6.8240
Rb 2.2132 2.8419 4.8743
Rb 3.5677 -0.4957 6.8240
Sc 0.0000 0.0000 0.0000
Sc 0.0000 0.0000 5.8491
H -0.2740 -1.5919 2.0960
H -1.2416 1.0333 2.0960
H -1.2416 -1.0333 3.7531
H 1.5156 0.5587 2.0960
H -0.2740 1.5919 3.7531
H 1.5156 -0.5587 3.7531
H -1.5156 0.5587 7.9451
H 0.2740 -1.5919 7.9451
H -1.5156 -0.5587 9.6023
H 1.2416 1.0333 7.9452
H 1.2416 -1.0333 9.6023
H 0.2740 1.5919 9.6023
O -5.0393 -1.7368 6.5558
O -1.0155 -5.2326 5.1425
O -1.0155 -1.4427 4.6060
O -4.0238 3.4958 5.1425
O -0.7416 1.6008 4.6060
O -1.7571 0.1581 7.0922
O 1.7571 -0.1581 4.6060
O 0.7416 -1.6008 7.0922
O 4.0238 -3.4958 6.5558
O 1.0155 1.4427 7.0922
O 1.0155 5.2326 6.5558
O 5.0393 1.7368 5.1425
```

Most intense lines, 10° ≤ 2θ ≤ 80°, low angle first:
2θ (°), d [Å], I_rel
17.6, 5.051, 44.9
24.7, 3.601, 16.7
26.7, 3.338, 65.3
27.6, 3.233, 100.0
33.2, 2.702, 64.4
35.8, 2.509, 36.4
38.8, 2.322, 61.6
50.5, 1.806, 24.0

[4]
Calculated powder XRD pattern
Compound: ZnCdAg2
Radiation: Cu Kα X-rays
Structure: a cell relaxed with GGA-PBE
Peak positions follow from Bragg's law for the DFT cell and can differ from measured ones.

Atomic structure:
```
4
Lattice="3.2088 0.0000 0.0000 0.0000 3.2088 0.0000 0.0000 0.0000 6.9519" Properties=species:S:1:pos:R:3 pbc="T T T"
Zn 0.0000 0.0000 0.0000
Cd 0.0000 0.0000 3.4760
Ag 1.6044 1.6044 1.5562
Ag 1.6044 1.6044 5.3957
```

Most intense lines, 10° ≤ 2θ ≤ 80°, low angle first:
2θ (°), d [Å], I_rel
30.7, 2.913, 7.3
38.2, 2.358, 100.0
39.7, 2.269, 47.3
52.7, 1.738, 7.9
56.8, 1.621, 4.2
57.4, 1.604, 15.2
67.9, 1.380, 14.1
71.1, 1.326, 29.5